# LaHoErTm3
Computed powder diffraction line list, λ = 1.5418 Å (Cu Kα). Input: a DFT-relaxed cell (GGA-PBE, Alexandria).

Main lines, sorted by position (2θ from 5° to 70°):
2.853 Å, 31.36°, intensity 27.6; 2.840 Å, 31.51°, intensity 25.6; 2.815 Å, 31.79°, intensity 100.0; 2.012 Å, 45.05°, intensity 19.2; 1.969 Å, 46.10°, intensity 8.3; 1.640 Å, 56.09°, intensity 20.2; 1.635 Å, 56.28°, intensity 18.5; 1.619 Å, 56.86°, intensity 17.8; 1.426 Å, 65.44°, intensity 3.3; 1.407 Å, 66.43°, intensity 11.2

Structural model:
```
LaHoErTm3
1.0
2.853 -5.907 0.000
2.853 5.907 0.000
0.000 0.000 11.358
La Ho Er Tm
2 2 2 6
direct
0.016 0.984 0.750 La
0.984 0.016 0.250 La
0.500 0.500 0.000 Ho
0.500 0.500 0.500 Ho
0.326 0.674 0.750 Er
0.674 0.326 0.250 Er
0.176 0.824 0.013 Tm
0.176 0.824 0.487 Tm
0.340 0.660 0.250 Tm
0.660 0.340 0.750 Tm
0.824 0.176 0.513 Tm
0.824 0.176 0.987 Tm
```

# TbDy5Al3
Computed powder diffraction line list, λ = 1.5418 Å (Cu Kα). Input: a DFT-relaxed cell (GGA-PBE, Alexandria).

Main lines, sorted by position (2θ from 5° to 70°):
4.541 Å, 19.55°, intensity 12.5; 3.748 Å, 23.74°, intensity 48.9; 2.679 Å, 33.45°, intensity 100.0; 2.622 Å, 34.20°, intensity 88.4; 2.148 Å, 42.06°, intensity 11.1; 1.874 Å, 48.59°, intensity 35.2; 1.661 Å, 55.32°, intensity 17.5; 1.524 Å, 60.76°, intensity 36.1; 1.514 Å, 61.24°, intensity 16.5; 1.402 Å, 66.72°, intensity 25.5

Structural model:
```
TbDy5Al3
1.0
9.081 0.000 0.000
-4.541 7.865 0.000
0.000 0.000 6.637
Tb Dy Al
2 10 6
direct
0.000 0.000 0.000 Tb
0.000 0.000 0.500 Tb
0.000 0.333 0.250 Dy
0.000 0.667 0.750 Dy
0.333 0.000 0.250 Dy
0.333 0.333 0.750 Dy
0.333 0.667 0.000 Dy
0.333 0.667 0.500 Dy
0.667 0.000 0.750 Dy
0.667 0.333 0.000 Dy
0.667 0.333 0.500 Dy
0.667 0.667 0.250 Dy
0.000 0.334 0.750 Al
0.000 0.666 0.250 Al
0.334 0.000 0.750 Al
0.334 0.334 0.250 Al
0.666 0.000 0.250 Al
0.666 0.666 0.750 Al
```